La2CuAuI: theoretical PXRD pattern (Cu Ka), based on a crystal structure in Alexandria, relaxed with GGA-PBE.
Kinematic intensities with the Lorentz-polarization factor, no thermal factor.

Most intense lines, 2θ = 10–80°, in order of rising 2θ:
d [Å], I (rel.), h k l
5.757, 100, 0 0 1
4.071, 23, 1 0 1
3.324, 40, 1 1 1
2.885, 83, 2 0 0
2.867, 41, 0 0 2
2.578, 39, 2 0 1
2.568, 18, 1 0 2
2.040, 31, 2 2 0
2.034, 61, 2 0 2
1.662, 32, 2 2 2

Crystal structure
Unit cell a=5.7695 b=5.7695 c=5.7348 alpha=90.00 beta=90.00 gamma=90.00
Space group P4/mmm (No. 123)
Inequivalent atoms, fractional coordinates:
1 La 0.0000 0.5000 0.0000 (multiplicity 2)
2 Cu 0.0000 0.0000 0.5000 (multiplicity 1)
3 Au 0.5000 0.5000 0.0000 (multiplicity 1)
4 I 0.5000 0.5000 0.5000 (multiplicity 1)